Calculated XRD peak list of Mg2GeHPt6 for Cu Kα, 1.54184 Å, from a structure optimized by DFT (GGA-PBE).

Cell: 5.4755 5.5741 6.2792 Å, 85.82 67.73 61.02°
Space group P-1 (No. 2)
One atom of each set of equivalent atoms:
Mg1 0.0046 0.3188 0.2235 (multiplicity 2)
Ge1 0.5000 0.5000 0.0000 (multiplicity 1)
H1 0.5000 0.0000 0.5000 (multiplicity 1)
Pt1 0.0185 0.1766 0.6765 (multiplicity 2)
Pt2 0.4570 0.3321 0.3755 (multiplicity 2)
Pt3 0.4838 0.1488 0.8019 (multiplicity 2)

Largest 10 diffraction maxima, low angle first, 2θ from 10° to 80°:
- hkl 0 0 1, d = 5.756 Å, intensity 24
- hkl 1 0 0, d = 4.403 Å, intensity 36
- hkl 1 1 2, d = 2.816 Å, intensity 30
- hkl 0 1 -2, d = 2.636 Å, intensity 21
- hkl 2 2 1, d = 2.360 Å, intensity 100
- hkl 2 0 2, d = 2.221 Å, intensity 26
- hkl 2 0 0, d = 2.201 Å, intensity 56
- hkl 1 1 -2, d = 2.177 Å, intensity 42
- hkl 0 2 1, d = 2.126 Å, intensity 47
- hkl 1 1 3, d = 1.977 Å, intensity 22

Calculated XRD peak list of Mn2GeH for Cu Kα, 1.54184 Å, from a structure optimized by DFT (GGA-PBE).

Cell: 2.7226 2.7226 17.9418 Å, 90.00 90.00 120.00°
Space group R-3m (No. 166, hexagonal axes)
One atom of each set of equivalent atoms:
Mn1 0.0000 0.0000 0.2218 (multiplicity 6)
Ge1 0.0000 0.0000 0.0000 (multiplicity 3)
H1 0.0000 0.0000 0.5000 (multiplicity 3)

Largest 10 diffraction maxima, low angle first, 2θ from 10° to 80°:
- hkl 0 0 3, d = 5.981 Å, intensity 4
- hkl 0 0 6, d = 2.990 Å, intensity 2
- hkl 1 0 1, d = 2.338 Å, intensity 48
- hkl 0 1 2, d = 2.280 Å, intensity 4
- hkl 1 0 4, d = 2.087 Å, intensity 100
- hkl 0 0 9, d = 1.994 Å, intensity 38
- hkl 0 1 5, d = 1.971 Å, intensity 83
- hkl 0 1 8, d = 1.625 Å, intensity 15
- hkl 1 0 10, d = 1.428 Å, intensity 11
- hkl 1 1 0, d = 1.361 Å, intensity 31